Simulated powder XRD pattern
Compound: LiReO5
Radiation: copper Kα
Structure: the PBE geometry in the Materials Project

Structure:
Unit cell a=6.858 b=10.990 c=6.168 alpha=90.00 beta=101.95 gamma=90.00
Space group P2_1/c (No. 14)
One atom of each set of equivalent atoms:
Li  0.121  0.186  0.234 x4
Re  0.240  0.605  0.007 x4
O  0.052  0.718  0.007 x4
O  0.146  0.015  0.326 x4
O  0.281  0.201  0.968 x4
O  0.319  0.548  0.272 x4
O  0.441  0.671  0.914 x4

Peak list (12 most intense, 15° ≤ 2θ ≤ 90°, sorted by position)
| 2theta | intensity | h k l |
| --- | --- | --- |
| 15.5 | 56 | 1 1 0 |
| 16.8 | 100 | 0 1 1 |
| 24.0 | 60 | 1 2 -1 |
| 26.6 | 24 | 2 0 0 |
| 27.2 | 52 | 1 2 1 |
| 27.7 | 42 | 1 3 0 |
| 28.8 | 28 | 2 1 -1 |
| 29.6 | 19 | 0 0 2 |
| 38.9 | 13 | 1 3 -2 |
| 43.4 | 11 | 3 2 -1 |
| 43.8 | 10 | 0 5 1 |
| 49.1 | 13 | 3 2 1 |